For LaPr3Ni8, a DFT-relaxed cell (GGA-PBE, Alexandria) gives the theoretical powder diffractogram in this record (Cu Kα).
Peak positions follow from Bragg's law for the DFT cell and can differ from measured ones.

Largest 12 diffraction maxima, in order of falling intensity, 2θ = 10–90°:
(hkl)  2θ/deg  d (Å)  I_rel
2 0 2  40.7  2.219  100
1 1 0  34.5  2.602  58
3 0 6  65.9  1.416  30
2 2 0  72.7  1.301  23
3 0 0  61.7  1.502  21
0 2 4  42.5  2.125  18
3 1 8  83.0  1.164  9
1 3 10  86.7  1.123  8
0 1 2  20.9  4.249  8
4 0 4  88.0  1.110  6
0 4 2  86.8  1.122  3
0 2 10  54.3  1.689  2

Crystal structure
Unit cell a=5.2025 b=5.2025 c=25.5157 alpha=90.00 beta=90.00 gamma=120.00
Space group R3m (No. 160, hexagonal axes)
Symmetry-distinct sites (fractional):
La 0.0000 0.0000 0.0000
Pr 0.0000 0.0000 0.3746
Pr 0.0000 0.0000 0.4995
Pr 0.0000 0.0000 0.8749
Ni 0.0000 0.0000 0.1873
Ni 0.0000 0.0000 0.6873
Ni 0.9996 0.4998 0.9371
Ni 0.0005 0.5003 0.4375

For LaPr3Ni3, a DFT-relaxed cell (GGA-PBE, Alexandria) gives the theoretical powder diffractogram in this record (Cu Kα).
Peak positions follow from Bragg's law for the DFT cell and can differ from measured ones.

Largest 12 diffraction maxima, in order of falling intensity, 2θ = 10–90°:
(hkl)  2θ/deg  d (Å)  I_rel
2 2 2  36.6  2.455  100
2 2 0  25.3  3.519  62
0 4 0  35.4  2.533  59
3 1 1  31.9  2.810  57
1 1 2  28.8  3.104  55
2 0 -2  31.1  2.878  51
1 3 -2  38.0  2.366  50
4 0 0  36.7  2.446  39
1 3 -1  30.7  2.913  38
1 1 -2  28.3  3.152  37
4 2 -1  42.7  2.115  32
0 2 4  55.7  1.650  28

Crystal structure
Unit cell a=9.788 b=10.133 c=6.984 alpha=90.00 beta=91.55 gamma=90.00
Space group C2/m (No. 12)
Symmetry-distinct sites (fractional):
La 0.241 0.000 0.389
Pr 0.000 0.180 0.000
Pr 0.000 0.260 0.500
Pr 0.175 0.500 0.102
Ni 0.061 0.000 0.685
Ni 0.236 0.257 0.794

For LaPr2Ni9, a DFT-relaxed cell (GGA-PBE, Alexandria) gives the theoretical powder diffractogram in this record (Cu Kα).
Peak positions follow from Bragg's law for the DFT cell and can differ from measured ones.

Largest 12 diffraction maxima, in order of falling intensity, 2θ = 10–90°:
(hkl)  2θ/deg  d (Å)  I_rel
1 1 6  41.8  2.163  100
1 1 0  35.4  2.536  90
1 0 7  32.4  2.764  48
0 2 1  41.3  2.186  39
3 0 0  63.6  1.464  23
2 2 0  75.0  1.267  23
0 3 6  67.9  1.380  22
2 0 5  45.2  2.008  19
0 1 11  45.0  2.013  16
2 1 7  61.7  1.503  14
2 0 14  67.8  1.382  14
0 0 12  43.6  2.076  13

Crystal structure
Unit cell a=5.0673 b=5.0673 c=24.9141 alpha=90.00 beta=90.00 gamma=120.00
Space group R-3m (No. 166, hexagonal axes)
Symmetry-distinct sites (fractional):
La 0.0000 0.0000 0.0000
Pr 0.0000 0.0000 0.1387
Ni 0.0000 0.0000 0.3325
Ni 0.0000 0.0000 0.5000
Ni 0.0014 0.5007 0.0810

For LaPr4Ni4, a DFT-relaxed cell (GGA-PBE, Alexandria) gives the theoretical powder diffractogram in this record (Cu Kα).
Peak positions follow from Bragg's law for the DFT cell and can differ from measured ones.

Largest 12 diffraction maxima, in order of falling intensity, 2θ = 10–90°:
(hkl)  2θ/deg  d (Å)  I_rel
1 3 0  32.6  2.744  100
2 1 1  27.3  3.262  72
1 0 2  31.5  2.843  51
4 2 0  46.8  1.941  32
1 2 2  37.8  2.378  31
2 3 2  48.4  1.880  29
5 0 1  55.1  1.668  24
4 1 2  53.1  1.725  17
3 0 2  43.4  2.085  17
1 3 2  44.7  2.028  12
5 2 2  65.7  1.421  11
3 1 1  36.0  2.497  11

Crystal structure
Unit cell a=8.679 b=8.679 c=6.018 alpha=90.00 beta=90.00 gamma=90.00
Space group P4_2/n (No. 86, origin choice 2)
Symmetry-distinct sites (fractional):
La 0.250 0.250 0.250
Pr 0.058 0.667 0.152
Ni 0.022 0.617 0.630

For LaPrNi2Sb2, a DFT-relaxed cell (GGA-PBE, Alexandria) gives the theoretical powder diffractogram in this record (Cu Kα).
Peak positions follow from Bragg's law for the DFT cell and can differ from measured ones.

Largest 12 diffraction maxima, in order of falling intensity, 2θ = 10–90°:
(hkl)  2θ/deg  d (Å)  I_rel
0 1 2  31.7  2.826  100
1 1 0  40.9  2.206  48
1 1 4  60.9  1.521  29
2 0 2  52.6  1.739  23
1 2 2  68.7  1.366  21
0 0 4  43.1  2.100  14
0 1 6  71.8  1.315  9
3 0 0  74.5  1.274  8
0 1 1  25.6  3.478  7
2 0 6  86.1  1.129  6
2 2 0  88.7  1.103  5
1 0 0  23.3  3.821  4

Crystal structure
Unit cell a=4.4123 b=4.4123 c=8.3997 alpha=90.00 beta=90.00 gamma=120.00
Space group P-3m1 (No. 164)
Symmetry-distinct sites (fractional):
La 0.0000 0.0000 0.0000
Pr 0.0000 0.0000 0.5000
Ni 0.3333 0.6667 0.2520
Sb 0.3333 0.6667 0.7467

For La6NiPt2, a DFT-relaxed cell (GGA-PBE, Alexandria) gives the theoretical powder diffractogram in this record (Cu Kα).
Peak positions follow from Bragg's law for the DFT cell and can differ from measured ones.

Largest 12 diffraction maxima, in order of falling intensity, 2θ = 10–90°:
(hkl)  2θ/deg  d (Å)  I_rel
2 1 -1  29.2  3.061  100
1 0 -4  29.3  3.051  60
1 2 1  31.5  2.844  54
2 1 3  50.4  1.812  50
1 1 -4  31.7  2.827  43
0 2 3  34.9  2.572  43
1 3 -1  38.3  2.352  33
3 1 -5  45.8  1.980  30
1 2 0  28.1  3.180  27
2 1 -3  30.3  2.949  27
1 1 2  30.0  2.976  26
2 2 -3  36.9  2.438  26

Crystal structure
Unit cell a=6.910 b=7.507 c=12.231 alpha=90.00 beta=120.01 gamma=90.00
Space group P2_1/c (No. 14)
Symmetry-distinct sites (fractional):
La 0.099 0.044 0.255
La 0.249 0.675 0.076
La 0.386 0.182 0.066
Ni 0.000 0.000 0.000
Pt 0.329 0.115 0.775